(1)
Starting from DFT lattice parameters and positions (PBE), the powder diffractogram of Ca2Cu was simulated for Cu Kα X-rays.
Kinematic intensities with the Lorentz-polarization factor, no thermal factor.

Atomic structure:
abc: 4.1371 4.1371 6.5875
angles: 90.00 90.00 120.00
Atoms (fractional coordinates):
Ca  0.3333  0.6667  0.2491
Ca  0.6667  0.3333  0.7509
Cu  0.0000  0.0000  0.5000

Most intense lines, 2θ from 10° to 90°, in order of rising 2θ:
- 13.4°, d 6.587, rel. 44
- 28.4°, d 3.147, rel. 100
- 37.1°, d 2.425, rel. 58
- 43.8°, d 2.069, rel. 33
- 46.0°, d 1.974, rel. 12
- 48.6°, d 1.872, rel. 20
- 53.0°, d 1.729, rel. 16
- 58.7°, d 1.574, rel. 14
- 71.1°, d 1.326, rel. 12
- 73.5°, d 1.288, rel. 12
- 76.0°, d 1.252, rel. 12
- 84.0°, d 1.153, rel. 7

---

(2)
Starting from DFT lattice parameters and positions (PBE), the powder diffractogram of CsMo6Se8 was simulated for Cu Kα X-rays.
Kinematic intensities with the Lorentz-polarization factor, no thermal factor.

Atomic structure:
abc: 7.0993 7.0993 7.0993
angles: 88.21 88.21 88.21
Atoms (fractional coordinates):
Cs  0.0000  0.0000  0.0000
Mo  0.2524  0.4174  0.5669
Mo  0.4174  0.5669  0.2524
Mo  0.4331  0.7476  0.5826
Mo  0.5669  0.2524  0.4174
Mo  0.5826  0.4331  0.7476
Mo  0.7476  0.5826  0.4331
Se  0.1174  0.7286  0.4063
Se  0.2561  0.2561  0.2561
Se  0.2714  0.5937  0.8826
Se  0.4063  0.1174  0.7286
Se  0.5937  0.8826  0.2714
Se  0.7286  0.4063  0.1174
Se  0.7439  0.7439  0.7439
Se  0.8826  0.2714  0.5937

Most intense lines, 2θ from 10° to 90°, in order of rising 2θ:
- 12.5°, d 7.093, rel. 100
- 17.4°, d 5.093, rel. 24
- 27.8°, d 3.211, rel. 39
- 28.5°, d 3.134, rel. 34
- 31.4°, d 2.853, rel. 43
- 37.0°, d 2.430, rel. 26
- 38.6°, d 2.333, rel. 25
- 39.8°, d 2.263, rel. 31
- 42.4°, d 2.133, rel. 99
- 42.8°, d 2.112, rel. 25
- 48.5°, d 1.875, rel. 27
- 55.0°, d 1.669, rel. 31

---

(3)
Starting from DFT lattice parameters and positions (PBE), the powder diffractogram of Sb2Pt2Se was simulated for Cu Kα X-rays.
Kinematic intensities with the Lorentz-polarization factor, no thermal factor.

Atomic structure:
abc: 7.9370 7.9370 7.9370
angles: 151.58 151.58 40.62
Atoms (fractional coordinates):
Sb  0.1200  0.1200  0.0000
Sb  0.8800  0.8800  0.0000
Pt  0.2500  0.7500  0.5000
Pt  0.7500  0.2500  0.5000
Se  0.5000  0.5000  0.0000

Most intense lines, 2θ from 10° to 90°, in order of rising 2θ:
- 11.9°, d 7.444, rel. 100
- 29.1°, d 3.064, rel. 35
- 34.7°, d 2.584, rel. 90
- 38.0°, d 2.366, rel. 23
- 40.7°, d 2.214, rel. 75
- 46.6°, d 1.948, rel. 43
- 48.9°, d 1.861, rel. 18
- 49.4°, d 1.844, rel. 26
- 69.9°, d 1.346, rel. 25
- 78.7°, d 1.216, rel. 17
- 82.5°, d 1.170, rel. 20
- 88.3°, d 1.107, rel. 14

---

(4)
Starting from DFT lattice parameters and positions (PBE), the powder diffractogram of La2PmTmH was simulated for Cu Kα X-rays.
Kinematic intensities with the Lorentz-polarization factor, no thermal factor.

Atomic structure:
abc: 5.2083 5.2083 5.0525
angles: 90.00 90.00 90.00
Atoms (fractional coordinates):
La  0.0000  0.5000  0.0000
La  0.5000  0.0000  0.0000
Pm  0.0000  0.0000  0.5000
Tm  0.5000  0.5000  0.5000
H  0.5000  0.5000  0.0000

Most intense lines, 2θ from 10° to 90°, in order of rising 2θ:
- 30.0°, d 2.976, rel. 100
- 34.4°, d 2.604, rel. 35
- 35.5°, d 2.526, rel. 16
- 49.5°, d 1.841, rel. 13
- 50.3°, d 1.813, rel. 24
- 59.0°, d 1.566, rel. 30
- 60.4°, d 1.532, rel. 14
- 62.4°, d 1.488, rel. 13
- 80.5°, d 1.193, rel. 6
- 81.8°, d 1.178, rel. 12
- 82.9°, d 1.165, rel. 6
- 83.5°, d 1.157, rel. 6